Structure and computed PXRD pattern of LiTb2AlO5 (a structure optimized by DFT (PBE); copper Kα).
No peak broadening, texture or thermal motion is included.

Largest 10 diffraction maxima, by angle, 2θ from 10° to 90°:
Position (°2θ), Rel. int.
15.88, 100
27.72, 15
31.07, 27
32.10, 57
35.08, 70
45.27, 47
47.55, 16
59.16, 24
61.70, 21
68.93, 16

Structure:
Unit cell a=6.436 b=6.436 c=5.580 alpha=90.00 beta=90.00 gamma=90.00
Sites, in units of the cell vectors:
Li1 0.000 0.000 0.000
Li2 0.500 0.500 0.000
Tb1 0.179 0.321 0.500
Tb2 0.321 0.821 0.500
Tb3 0.679 0.179 0.500
Tb4 0.821 0.679 0.500
Al1 0.000 0.500 0.000
Al2 0.500 0.000 0.000
O1 0.000 0.000 0.500
O2 0.136 0.636 0.235
O3 0.136 0.636 0.765
O4 0.364 0.136 0.235
O5 0.364 0.136 0.765
O6 0.500 0.500 0.500
O7 0.636 0.864 0.235
O8 0.636 0.864 0.765
O9 0.864 0.364 0.235
O10 0.864 0.364 0.765



Structure and computed PXRD pattern of Dy5HoIn3 (a structure optimized by DFT (PBE); copper Kα).
No peak broadening, texture or thermal motion is included.

Largest 10 diffraction maxima, by angle, 2θ from 10° to 90°:
Position (°2θ), Rel. int.
32.85, 97
33.25, 100
47.44, 35
54.63, 8
59.15, 36
59.41, 19
65.47, 28
69.81, 12
79.32, 15
84.97, 14

Structure:
Unit cell a=9.334 b=9.334 c=6.720 alpha=90.00 beta=90.00 gamma=120.00
Sites, in units of the cell vectors:
Dy1 0.000 0.334 0.250
Dy2 0.000 0.666 0.750
Dy3 0.333 0.667 0.000
Dy4 0.333 0.667 0.500
Dy5 0.334 0.000 0.250
Dy6 0.334 0.334 0.750
Dy7 0.666 0.000 0.750
Dy8 0.666 0.666 0.250
Dy9 0.667 0.333 0.000
Dy10 0.667 0.333 0.500
Ho1 0.000 0.000 0.000
Ho2 0.000 0.000 0.500
In1 0.000 0.333 0.750
In2 0.000 0.667 0.250
In3 0.333 0.000 0.750
In4 0.333 0.333 0.250
In5 0.667 0.000 0.250
In6 0.667 0.667 0.750



Structure and computed PXRD pattern of Cu2As3 (a structure optimized by DFT (PBE); copper Kα).
No peak broadening, texture or thermal motion is included.

Largest 10 diffraction maxima, by angle, 2θ from 10° to 90°:
Position (°2θ), Rel. int.
25.33, 13
29.29, 43
38.99, 100
44.64, 78
51.76, 17
54.26, 11
60.74, 26
66.58, 12
78.45, 24
82.27, 12

Structure:
Unit cell a=4.060 b=4.060 c=6.128 alpha=90.00 beta=90.00 gamma=120.00
Sites, in units of the cell vectors:
Cu1 0.333 0.667 0.290
Cu2 0.667 0.333 0.710
As1 0.000 0.000 0.500
As2 0.333 0.667 0.857
As3 0.667 0.333 0.143



Structure and computed PXRD pattern of NaBe2ClO (a structure optimized by DFT (PBE); copper Kα).
No peak broadening, texture or thermal motion is included.

Largest 10 diffraction maxima, by angle, 2θ from 10° to 90°:
Position (°2θ), Rel. int.
10.58, 43
21.25, 100
28.05, 19
36.96, 21
38.55, 28
43.02, 26
43.29, 12
49.75, 13
53.26, 12
57.98, 18

Structure:
Unit cell a=3.440 b=3.440 c=8.361 alpha=90.00 beta=90.00 gamma=90.00
Sites, in units of the cell vectors:
Na1 0.000 0.000 0.000
Be1 0.000 0.500 0.500
Be2 0.500 0.000 0.500
Cl1 0.500 0.500 0.000
O1 0.000 0.000 0.500



Structure and computed PXRD pattern of NaMgSn2Br6 (a structure optimized by DFT (PBE); copper Kα).
No peak broadening, texture or thermal motion is included.

Largest 10 diffraction maxima, by angle, 2θ from 10° to 90°:
Position (°2θ), Rel. int.
14.61, 55
16.31, 49
17.45, 43
19.17, 57
24.35, 72
25.86, 43
29.86, 52
32.43, 92
32.76, 100
50.56, 46

Structure:
Unit cell a=7.353 b=7.440 c=7.740 alpha=84.93 beta=69.65 gamma=61.63
Sites, in units of the cell vectors:
Na1 0.000 0.000 0.000
Mg1 0.132 0.425 0.461
Sn1 0.475 0.256 0.922
Sn2 0.494 0.738 0.433
Br1 0.110 0.705 0.672
Br2 0.217 0.111 0.224
Br3 0.296 0.120 0.681
Br4 0.555 0.353 0.246
Br5 0.722 0.493 0.673
Br6 0.955 0.693 0.244



Structure and computed PXRD pattern of Pr2Tm5 (a structure optimized by DFT (PBE); copper Kα).
No peak broadening, texture or thermal motion is included.

Largest 10 diffraction maxima, by angle, 2θ from 10° to 90°:
Position (°2θ), Rel. int.
30.83, 100
35.68, 34
35.88, 17
51.35, 12
51.53, 18
61.06, 14
61.14, 14
61.32, 7
61.43, 7
64.16, 6

Structure:
Unit cell a=6.135 b=6.135 c=7.965 alpha=97.53 beta=97.53 gamma=48.40
Sites, in units of the cell vectors:
Pr1 0.072 0.072 0.217
Pr2 0.928 0.928 0.783
Tm1 0.214 0.214 0.643
Tm2 0.356 0.356 0.072
Tm3 0.500 0.500 0.500
Tm4 0.644 0.644 0.928
Tm5 0.786 0.786 0.357



Structure and computed PXRD pattern of In3Pb2Au9 (a structure optimized by DFT (PBE); copper Kα).
No peak broadening, texture or thermal motion is included.

Largest 10 diffraction maxima, by angle, 2θ from 10° to 90°:
Position (°2θ), Rel. int.
31.48, 14
33.46, 31
34.44, 100
34.58, 16
36.37, 26
36.89, 56
38.77, 16
39.56, 22
41.01, 19
65.51, 17

Structure:
Unit cell a=8.088 b=8.088 c=10.232 alpha=90.00 beta=90.00 gamma=64.65
Sites, in units of the cell vectors:
In1 0.000 0.000 0.000
In2 0.000 0.000 0.500
In3 0.311 0.311 0.000
In4 0.311 0.311 0.500
In5 0.689 0.689 0.000
In6 0.689 0.689 0.500
Pb1 0.012 0.686 0.750
Pb2 0.314 0.988 0.750
Pb3 0.686 0.012 0.250
Pb4 0.988 0.314 0.250
Au1 0.030 0.640 0.093
Au2 0.030 0.640 0.407
Au3 0.137 0.863 0.250
Au4 0.337 0.663 0.561
Au5 0.337 0.663 0.939
Au6 0.360 0.970 0.093
Au7 0.360 0.970 0.407
Au8 0.363 0.428 0.250
Au9 0.428 0.363 0.750
Au10 0.572 0.637 0.250
Au11 0.637 0.572 0.750
Au12 0.640 0.030 0.593
Au13 0.640 0.030 0.907
Au14 0.663 0.337 0.061
Au15 0.663 0.337 0.439
Au16 0.863 0.137 0.750
Au17 0.970 0.360 0.593
Au18 0.970 0.360 0.907